Starting from a crystal structure in the Materials Project, relaxed with PBE, the powder diffraction line list of SnClF was calculated for Cu Kα (λ = 1.5418 Å).
Kinematic intensities with the Lorentz-polarization factor, no thermal factor.

Structural model:
Lattice parameters (Å, degrees): 4.055 4.055 7.364 90.00 90.00 90.00
Fractional coordinates of all 6 atoms:
Sn 0.250 0.250 0.204
Sn 0.750 0.750 0.796
Cl 0.250 0.250 0.651
Cl 0.750 0.750 0.349
F 0.250 0.750 0.000
F 0.750 0.250 0.000

Peak list (12 most intense, 2θ = 10–90°, low angle first)
- 12.02°, I 19.9
- 24.17°, I 31.9
- 25.07°, I 100.0
- 31.19°, I 75.0
- 32.86°, I 70.7
- 39.85°, I 71.4
- 43.08°, I 25.8
- 44.70°, I 45.1
- 51.93°, I 31.9
- 54.76°, I 28.7
- 56.57°, I 28.6
- 73.27°, I 24.8

***

Starting from a crystal structure in the Materials Project, relaxed with PBE, the powder diffraction line list of Sr2Cl2F was calculated for Cu Kα (λ = 1.5418 Å).
Kinematic intensities with the Lorentz-polarization factor, no thermal factor.

Structural model:
Lattice parameters (Å, degrees): 5.678 5.678 13.388 90.00 90.00 90.00
Fractional coordinates of all 5 atoms:
Sr 0.000 0.000 0.172
Sr 0.000 0.000 0.828
Cl 0.000 0.000 0.363
Cl 0.000 0.000 0.637
F 0.000 0.000 0.000

Peak list (12 most intense, 2θ = 10–90°, low angle first)
- 13.23°, I 7.5
- 15.61°, I 100.0
- 20.51°, I 11.0
- 22.14°, I 43.3
- 31.51°, I 17.2
- 35.35°, I 24.8
- 37.12°, I 7.9
- 40.47°, I 9.0
- 43.58°, I 9.3
- 46.59°, I 11.6
- 50.86°, I 8.2
- 54.77°, I 9.2

***

Starting from a crystal structure in the Materials Project, relaxed with PBE, the powder diffraction line list of TaClF8 was calculated for Cu Kα (λ = 1.5418 Å).
Kinematic intensities with the Lorentz-polarization factor, no thermal factor.

Structural model:
Lattice parameters (Å, degrees): 10.106 5.996 11.005 90.00 90.00 90.00
Fractional coordinates of all 40 atoms:
Ta 0.000 0.116 0.250
Ta 0.000 0.884 0.750
Ta 0.500 0.116 0.750
Ta 0.500 0.884 0.250
Cl 0.250 0.500 0.049
Cl 0.250 0.500 0.549
Cl 0.750 0.500 0.451
Cl 0.750 0.500 0.951
F 0.099 0.143 0.397
F 0.099 0.857 0.897
F 0.114 0.101 0.684
F 0.114 0.899 0.184
F 0.117 0.360 0.185
F 0.117 0.640 0.685
F 0.152 0.389 0.949
F 0.152 0.611 0.449
F 0.348 0.389 0.449
F 0.348 0.611 0.949
F 0.383 0.360 0.685
F 0.383 0.640 0.185
F 0.386 0.101 0.184
F 0.386 0.899 0.684
F 0.401 0.143 0.897
F 0.401 0.857 0.397
F 0.599 0.143 0.603
F 0.599 0.857 0.103
F 0.614 0.101 0.316
F 0.614 0.899 0.816
F 0.617 0.360 0.815
F 0.617 0.640 0.315
F 0.652 0.389 0.051
F 0.652 0.611 0.551
F 0.848 0.389 0.551
F 0.848 0.611 0.051
F 0.883 0.360 0.315
F 0.883 0.640 0.815
F 0.886 0.101 0.816
F 0.886 0.899 0.316
F 0.901 0.143 0.103
F 0.901 0.857 0.603

Peak list (12 most intense, 2θ = 10–90°, low angle first)
- 16.11°, I 49.9
- 17.55°, I 36.3
- 19.01°, I 100.0
- 21.92°, I 69.3
- 23.02°, I 64.6
- 23.91°, I 79.8
- 29.89°, I 23.2
- 31.53°, I 21.4
- 32.19°, I 33.8
- 41.13°, I 30.2
- 47.57°, I 27.1
- 55.46°, I 22.1

***

Starting from a crystal structure in the Materials Project, relaxed with PBE, the powder diffraction line list of TbCl2F was calculated for Cu Kα (λ = 1.5418 Å).
Kinematic intensities with the Lorentz-polarization factor, no thermal factor.

Structural model:
Lattice parameters (Å, degrees): 5.350 5.350 6.861 106.34 106.34 66.39
Fractional coordinates of all 8 atoms:
Tb 0.233 0.767 0.750
Tb 0.767 0.233 0.250
Cl 0.283 0.339 0.394
Cl 0.339 0.283 0.894
Cl 0.661 0.717 0.106
Cl 0.717 0.661 0.606
F 0.000 0.000 0.000
F 0.000 0.000 0.500

Peak list (12 most intense, 2θ = 10–90°, low angle first)
- 20.80°, I 100.0
- 21.07°, I 27.5
- 25.11°, I 49.3
- 27.61°, I 13.3
- 33.86°, I 28.1
- 37.38°, I 27.9
- 40.48°, I 13.1
- 41.62°, I 22.1
- 42.06°, I 17.0
- 42.32°, I 25.1
- 42.59°, I 29.0
- 53.52°, I 13.9

***

Starting from a crystal structure in the Materials Project, relaxed with PBE, the powder diffraction line list of FeCl4 was calculated for Cu Kα (λ = 1.5418 Å).
Kinematic intensities with the Lorentz-polarization factor, no thermal factor.

Structural model:
Lattice parameters (Å, degrees): 6.149 6.149 3.435 90.00 90.00 104.72
Fractional coordinates of all 5 atoms:
Fe 0.000 0.000 0.000
Cl 0.206 0.206 0.500
Cl 0.223 0.777 0.000
Cl 0.777 0.223 0.000
Cl 0.794 0.794 0.500

Peak list (12 most intense, 2θ = 10–90°, low angle first)
- 14.90°, I 100.0
- 18.22°, I 14.6
- 23.69°, I 9.4
- 30.04°, I 25.1
- 31.88°, I 11.3
- 35.42°, I 47.0
- 36.92°, I 19.6
- 45.81°, I 17.7
- 48.27°, I 8.5
- 52.09°, I 22.9
- 53.35°, I 11.2
- 66.65°, I 14.7

***

Starting from a crystal structure in the Materials Project, relaxed with PBE, the powder diffraction line list of FeCl was calculated for Cu Kα (λ = 1.5418 Å).
Kinematic intensities with the Lorentz-polarization factor, no thermal factor.

Structural model:
Lattice parameters (Å, degrees): 3.102 3.102 3.102 90.00 90.00 90.00
Fractional coordinates of all 2 atoms:
Fe 0.000 0.000 0.000
Cl 0.500 0.500 0.500

Peak list (7 most intense, 2θ = 10–90°, low angle first)
- 28.78°, I 8.0
- 41.15°, I 100.0
- 50.99°, I 2.4
- 59.60°, I 14.9
- 67.51°, I 2.9
- 74.99°, I 28.8
- 89.32°, I 9.3

***

Starting from a crystal structure in the Materials Project, relaxed with PBE, the powder diffraction line list of HfFeCl6 was calculated for Cu Kα (λ = 1.5418 Å).
Kinematic intensities with the Lorentz-polarization factor, no thermal factor.

Structural model:
Lattice parameters (Å, degrees): 6.362 6.362 12.872 90.00 90.00 120.00
Fractional coordinates of all 16 atoms:
Hf 0.333 0.667 0.250
Hf 0.667 0.333 0.750
Fe 0.000 0.000 0.250
Fe 0.000 0.000 0.750
Cl 0.032 0.336 0.360
Cl 0.032 0.696 0.140
Cl 0.304 0.336 0.140
Cl 0.304 0.968 0.360
Cl 0.336 0.032 0.860
Cl 0.336 0.304 0.640
Cl 0.664 0.696 0.360
Cl 0.664 0.968 0.140
Cl 0.696 0.032 0.640
Cl 0.696 0.664 0.860
Cl 0.968 0.304 0.860
Cl 0.968 0.664 0.640

Peak list (12 most intense, 2θ = 10–90°, low angle first)
- 13.76°, I 79.5
- 17.51°, I 100.0
- 26.33°, I 26.7
- 31.37°, I 66.7
- 33.26°, I 9.9
- 38.85°, I 14.4
- 39.85°, I 49.7
- 44.05°, I 15.7
- 48.60°, I 12.9
- 49.64°, I 19.9
- 51.37°, I 21.3
- 51.77°, I 14.8

***

Starting from a crystal structure in the Materials Project, relaxed with PBE, the powder diffraction line list of KFeCl3 was calculated for Cu Kα (λ = 1.5418 Å).
Kinematic intensities with the Lorentz-polarization factor, no thermal factor.

Structural model:
Lattice parameters (Å, degrees): 8.862 3.891 14.296 90.00 90.00 90.00
Fractional coordinates of all 20 atoms:
K 0.057 0.250 0.172
K 0.443 0.750 0.672
K 0.557 0.250 0.328
K 0.943 0.750 0.828
Fe 0.162 0.750 0.448
Fe 0.338 0.250 0.948
Fe 0.662 0.750 0.052
Fe 0.838 0.250 0.552
Cl 0.020 0.750 0.596
Cl 0.183 0.750 0.006
Cl 0.232 0.250 0.797
Cl 0.268 0.750 0.297
Cl 0.317 0.250 0.506
Cl 0.480 0.250 0.096
Cl 0.520 0.750 0.904
Cl 0.683 0.750 0.494
Cl 0.732 0.250 0.703
Cl 0.768 0.750 0.203
Cl 0.817 0.250 0.994
Cl 0.980 0.250 0.404

Peak list (12 most intense, 2θ = 10–90°, low angle first)
- 11.75°, I 42.1
- 12.38°, I 55.7
- 15.93°, I 34.9
- 25.77°, I 25.9
- 31.23°, I 100.0
- 31.35°, I 28.2
- 32.18°, I 37.5
- 32.92°, I 34.2
- 33.10°, I 92.2
- 39.12°, I 46.7
- 46.19°, I 39.7
- 46.69°, I 38.4